Diffraction record for CoH8C4O8. The XRD peak list is simulated, not measured: it uses a crystal structure in OQMD, relaxed with PBE+U and Cu Kα X-rays.

Cell and atoms:
```
42
Lattice="4.2915 -6.6777 0.0000 4.2915 6.6777 0.0000 -1.0034 0.0000 6.3222" Properties=species:S:1:pos:R:3 pbc="T T T"
Co 2.1458 3.3388 0.0000
Co 1.6441 -3.3388 3.1611
H 0.8915 1.6280 1.5901
H 1.0994 1.9822 3.9060
H 1.1955 0.8555 0.2686
H 3.0382 3.3354 2.5212
H 0.6938 -0.8555 3.4297
H 0.3898 -1.6280 4.7512
H 1.6011 -1.9822 0.7449
H 5.0431 3.3354 0.6399
H 2.5365 -3.3354 5.6823
H 5.9786 1.9822 5.5774
H 7.1899 1.6280 1.5710
H 6.8858 0.8555 2.8925
H 4.5414 -3.3354 3.8010
H 6.3841 -0.8555 6.0536
H 6.4803 -1.9822 2.4162
H 6.6882 -1.6280 4.7321
C 2.7741 0.2159 3.1281
C 2.2724 -0.2159 6.2892
C 4.0826 1.0117 0.0102
C 3.9988 1.0117 3.1509
C 3.5809 -1.0117 3.1713
C 3.4971 -1.0117 6.3120
C 5.3073 0.2159 0.0330
C 4.8056 -0.2159 3.1941
O 2.4042 4.9338 5.7071
O 2.3894 3.8389 1.9631
O 1.5443 0.5091 3.0972
O 4.6738 4.9338 3.7763
O 1.0426 -0.5091 6.2584
O 3.8820 2.2528 0.0218
O 4.1994 2.2528 3.1393
O 5.6919 3.8389 1.1980
O 1.8877 -3.8389 5.1242
O 3.3803 -2.2528 3.1829
O 3.6977 -2.2528 6.3005
O 6.5371 0.5091 0.0639
O 2.9059 -4.9338 2.5460
O 6.0354 -0.5091 3.2250
O 5.1902 -3.8389 4.3591
O 5.1755 -4.9338 0.6152
```

Principal peaks in the range 10° ≤ 2θ ≤ 80°, sorted by position:
- 12.4°, intensity 45
- 13.3°, intensity 45
- 17.4°, intensity 100
- 19.9°, intensity 61
- 21.0°, intensity 33
- 25.8°, intensity 67
- 28.2°, intensity 98
- 34.2°, intensity 56
- 38.5°, intensity 52
- 47.4°, intensity 35